1.
Th2Co3P3: computed powder diffractogram (Cu Ka), based on DFT lattice parameters and positions (GGA-PBE).
No peak broadening, texture or thermal motion is included.

Crystal structure
```
data_Th2Co3P3
_chemical_formula_sum 'Th2 Co3 P3'
_cell_length_a 2.9754
_cell_length_b 2.9754
_cell_length_c 18.8535
_cell_angle_alpha 90.00
_cell_angle_beta 90.00
_cell_angle_gamma 90.00
_symmetry_space_group_name_H-M 'P 1'
_symmetry_Int_Tables_number 1
_symmetry_space_group_name_Hall 'P 1'
loop_
_atom_site_label
_atom_site_type_symbol
_atom_site_fract_x
_atom_site_fract_y
_atom_site_fract_z
Th1 Th 0.0000 0.0000 0.2400
Th2 Th 0.0000 0.0000 0.7600
Co1 Co 0.0000 0.0000 0.1107
Co2 Co 0.0000 0.0000 0.5000
Co3 Co 0.0000 0.0000 0.8893
P1 P 0.0000 0.0000 0.0000
P2 P 0.0000 0.0000 0.3870
P3 P 0.0000 0.0000 0.6130
```

Principal peaks in the range 10° ≤ 2θ ≤ 80°, sorted by position:
Position (°2θ)	I/Imax
18.83	34
28.40	18
30.03	100
31.53	33
35.69	29
38.19	20
41.81	27
42.99	37
49.33	37
58.83	23

=====

2.
ThCo4P2: computed powder diffractogram (Cu Ka), based on DFT lattice parameters and positions (GGA-PBE).
No peak broadening, texture or thermal motion is included.

Crystal structure
```
data_ThCo4P2
_chemical_formula_sum 'Th2 Co8 P4'
_cell_length_a 7.2218
_cell_length_b 7.2218
_cell_length_c 3.6069
_cell_angle_alpha 90.00
_cell_angle_beta 90.00
_cell_angle_gamma 90.00
_symmetry_space_group_name_H-M 'P 1'
_symmetry_Int_Tables_number 1
_symmetry_space_group_name_Hall 'P 1'
loop_
_atom_site_label
_atom_site_type_symbol
_atom_site_fract_x
_atom_site_fract_y
_atom_site_fract_z
Th1 Th 0.0000 0.0000 0.0000
Th2 Th 0.5000 0.5000 0.5000
Co1 Co 0.0828 0.3441 0.5000
Co2 Co 0.1559 0.5828 0.0000
Co3 Co 0.3441 0.0828 0.5000
Co4 Co 0.4172 0.8441 0.0000
Co5 Co 0.5828 0.1559 0.0000
Co6 Co 0.6559 0.9172 0.5000
Co7 Co 0.8441 0.4172 0.0000
Co8 Co 0.9172 0.6559 0.5000
P1 P 0.2227 0.7773 0.5000
P2 P 0.2773 0.2773 0.0000
P3 P 0.7227 0.7227 0.0000
P4 P 0.7773 0.2227 0.5000
```

Principal peaks in the range 10° ≤ 2θ ≤ 80°, sorted by position:
Position (°2θ)	I/Imax
17.37	17
24.65	24
27.64	34
35.15	16
37.37	100
39.46	47
50.61	17
58.59	19
65.99	28
70.19	26

=====

3.
Tm5Co19P12: computed powder diffractogram (Cu Ka), based on DFT lattice parameters and positions (GGA-PBE).
No peak broadening, texture or thermal motion is included.

Crystal structure
```
data_Tm5Co19P12
_chemical_formula_sum 'Tm5 Co19 P12'
_cell_length_a 11.9357
_cell_length_b 11.9357
_cell_length_c 3.6489
_cell_angle_alpha 90.00
_cell_angle_beta 90.00
_cell_angle_gamma 120.00
_symmetry_space_group_name_H-M 'P 1'
_symmetry_Int_Tables_number 1
_symmetry_space_group_name_Hall 'P 1'
loop_
_atom_site_label
_atom_site_type_symbol
_atom_site_fract_x
_atom_site_fract_y
_atom_site_fract_z
Tm1 Tm 0.0000 0.8134 0.0000
Tm2 Tm 0.1866 0.1866 0.0000
Tm3 Tm 0.3333 0.6667 0.5000
Tm4 Tm 0.6667 0.3333 0.5000
Tm5 Tm 0.8134 0.0000 0.0000
Co1 Co 0.0000 0.0000 0.5000
Co2 Co 0.0000 0.2849 0.0000
Co3 Co 0.0000 0.4480 0.5000
Co4 Co 0.1259 0.6420 0.0000
Co5 Co 0.1782 0.3773 0.5000
Co6 Co 0.1990 0.8218 0.5000
Co7 Co 0.2849 0.0000 0.0000
Co8 Co 0.3580 0.4839 0.0000
Co9 Co 0.3773 0.1782 0.5000
Co10 Co 0.4480 0.0000 0.5000
Co11 Co 0.4839 0.3580 0.0000
Co12 Co 0.5161 0.8741 0.0000
Co13 Co 0.5520 0.5520 0.5000
Co14 Co 0.6227 0.8010 0.5000
Co15 Co 0.6420 0.1259 0.0000
Co16 Co 0.7151 0.7151 0.0000
Co17 Co 0.8010 0.6227 0.5000
Co18 Co 0.8218 0.1990 0.5000
Co19 Co 0.8741 0.5161 0.0000
P1 P 0.0000 0.1800 0.5000
P2 P 0.0000 0.6331 0.5000
P3 P 0.1661 0.4808 0.0000
P4 P 0.1800 0.0000 0.5000
P5 P 0.3147 0.8339 0.0000
P6 P 0.3669 0.3669 0.5000
P7 P 0.4808 0.1661 0.0000
P8 P 0.5192 0.6853 0.0000
P9 P 0.6331 0.0000 0.5000
P10 P 0.6853 0.5192 0.0000
P11 P 0.8200 0.8200 0.5000
P12 P 0.8339 0.3147 0.0000
```

Principal peaks in the range 10° ≤ 2θ ≤ 80°, sorted by position:
Position (°2θ)	I/Imax
25.89	11
29.95	12
35.85	13
38.99	100
39.98	46
49.99	21
53.17	20
60.07	11
73.94	11
75.97	13

=====

4.
UCo3P3: computed powder diffractogram (Cu Ka), based on DFT lattice parameters and positions (GGA-PBE).
No peak broadening, texture or thermal motion is included.

Crystal structure
```
data_UCo3P3
_chemical_formula_sum 'U2 Co6 P6'
_cell_length_a 6.0154
_cell_length_b 6.0154
_cell_length_c 6.0154
_cell_angle_alpha 90.00
_cell_angle_beta 90.00
_cell_angle_gamma 90.00
_symmetry_space_group_name_H-M 'P 1'
_symmetry_Int_Tables_number 1
_symmetry_space_group_name_Hall 'P 1'
loop_
_atom_site_label
_atom_site_type_symbol
_atom_site_fract_x
_atom_site_fract_y
_atom_site_fract_z
U1 U 0.0000 0.0000 0.0000
U2 U 0.5000 0.5000 0.5000
Co1 Co 0.0000 0.2500 0.5000
Co2 Co 0.0000 0.7500 0.5000
Co3 Co 0.2500 0.5000 0.0000
Co4 Co 0.5000 0.0000 0.2500
Co5 Co 0.5000 0.0000 0.7500
Co6 Co 0.7500 0.5000 0.0000
P1 P 0.0000 0.5000 0.2500
P2 P 0.0000 0.5000 0.7500
P3 P 0.2500 0.0000 0.5000
P4 P 0.5000 0.2500 0.0000
P5 P 0.5000 0.7500 0.0000
P6 P 0.7500 0.0000 0.5000
```

Principal peaks in the range 10° ≤ 2θ ≤ 80°, sorted by position:
Position (°2θ)	I/Imax
20.88	32
29.70	44
36.59	100
42.51	6
47.82	9
57.31	55
61.68	13
65.88	6
69.94	15
73.90	13

=====

5.
UCo2P2: computed powder diffractogram (Cu Ka), based on DFT lattice parameters and positions (GGA-PBE).
No peak broadening, texture or thermal motion is included.

Crystal structure
```
data_UCo2P2
_chemical_formula_sum 'U2 Co4 P4'
_cell_length_a 3.9320
_cell_length_b 3.9320
_cell_length_c 8.9415
_cell_angle_alpha 90.00
_cell_angle_beta 90.00
_cell_angle_gamma 90.00
_symmetry_space_group_name_H-M 'P 1'
_symmetry_Int_Tables_number 1
_symmetry_space_group_name_Hall 'P 1'
loop_
_atom_site_label
_atom_site_type_symbol
_atom_site_fract_x
_atom_site_fract_y
_atom_site_fract_z
U1 U 0.2500 0.2500 0.2475
U2 U 0.7500 0.7500 0.7525
Co1 Co 0.2500 0.2500 0.8862
Co2 Co 0.2500 0.7500 0.5000
Co3 Co 0.7500 0.2500 0.5000
Co4 Co 0.7500 0.7500 0.1138
P1 P 0.2500 0.2500 0.6347
P2 P 0.2500 0.7500 0.0000
P3 P 0.7500 0.2500 0.0000
P4 P 0.7500 0.7500 0.3653
```

Principal peaks in the range 10° ≤ 2θ ≤ 80°, sorted by position:
Position (°2θ)	I/Imax
19.86	19
24.74	78
32.20	41
37.88	90
38.12	100
46.17	49
53.08	22
56.53	25
61.20	45
75.88	22

=====

6.
U2Co3P4: computed powder diffractogram (Cu Ka), based on DFT lattice parameters and positions (GGA-PBE).
No peak broadening, texture or thermal motion is included.

Crystal structure
```
data_U2Co3P4
_chemical_formula_sum 'U2 Co3 P4'
_cell_length_a 7.1824
_cell_length_b 6.1005
_cell_length_c 5.2515
_cell_angle_alpha 78.10
_cell_angle_beta 56.21
_cell_angle_gamma 45.68
_symmetry_space_group_name_H-M 'P 1'
_symmetry_Int_Tables_number 1
_symmetry_space_group_name_Hall 'P 1'
loop_
_atom_site_label
_atom_site_type_symbol
_atom_site_fract_x
_atom_site_fract_y
_atom_site_fract_z
U1 U 0.1412 0.1412 0.8588
U2 U 0.8588 0.8588 0.1412
Co1 Co 0.0000 0.0000 0.5000
Co2 Co 0.5000 0.5000 0.0000
Co3 Co 0.5000 0.5000 0.5000
P1 P 0.1820 0.5089 0.4911
P2 P 0.4911 0.8180 0.1820
P3 P 0.5089 0.1820 0.8180
P4 P 0.8180 0.4911 0.5089
```

Principal peaks in the range 10° ≤ 2θ ≤ 80°, sorted by position:
Position (°2θ)	I/Imax
19.38	52
21.39	52
31.41	100
34.91	31
35.14	40
38.00	36
40.24	54
42.26	94
48.34	30
67.67	28

=====

7.
Co2P2W: computed powder diffractogram (Cu Ka), based on DFT lattice parameters and positions (GGA-PBE).
No peak broadening, texture or thermal motion is included.

Crystal structure
```
data_Co2P2W
_chemical_formula_sum 'Co4 P4 W2'
_cell_length_a 6.5955
_cell_length_b 6.5955
_cell_length_c 2.7088
_cell_angle_alpha 90.00
_cell_angle_beta 90.00
_cell_angle_gamma 90.00
_symmetry_space_group_name_H-M 'P 1'
_symmetry_Int_Tables_number 1
_symmetry_space_group_name_Hall 'P 1'
loop_
_atom_site_label
_atom_site_type_symbol
_atom_site_fract_x
_atom_site_fract_y
_atom_site_fract_z
Co1 Co 0.1399 0.3601 0.0000
Co2 Co 0.3601 0.8601 0.0000
Co3 Co 0.6399 0.1399 0.0000
Co4 Co 0.8601 0.6399 0.0000
P1 P 0.1528 0.6528 0.5000
P2 P 0.3472 0.1528 0.5000
P3 P 0.6528 0.8472 0.5000
P4 P 0.8472 0.3472 0.5000
W1 W 0.0000 0.0000 0.5000
W2 W 0.5000 0.5000 0.5000
```

Principal peaks in the range 10° ≤ 2θ ≤ 80°, sorted by position:
Position (°2θ)	I/Imax
19.03	58
27.04	41
38.43	79
38.61	32
43.22	43
43.38	100
45.46	41
51.73	26
55.61	26
66.37	21

=====

8.
Y2Co5P4: computed powder diffractogram (Cu Ka), based on DFT lattice parameters and positions (GGA-PBE).
No peak broadening, texture or thermal motion is included.

Crystal structure
```
data_Y2Co5P4
_chemical_formula_sum 'Y2 Co5 P4'
_cell_length_a 7.9774
_cell_length_b 6.9938
_cell_length_c 5.2824
_cell_angle_alpha 79.73
_cell_angle_beta 59.61
_cell_angle_gamma 40.66
_symmetry_space_group_name_H-M 'P 1'
_symmetry_Int_Tables_number 1
_symmetry_space_group_name_Hall 'P 1'
loop_
_atom_site_label
_atom_site_type_symbol
_atom_site_fract_x
_atom_site_fract_y
_atom_site_fract_z
Y1 Y 0.1374 0.1374 0.8626
Y2 Y 0.8626 0.8626 0.1374
Co1 Co 0.0000 0.0000 0.5000
Co2 Co 0.2500 0.2500 0.2500
Co3 Co 0.5000 0.5000 0.0000
Co4 Co 0.5000 0.5000 0.5000
Co5 Co 0.7500 0.7500 0.7500
P1 P 0.2134 0.5280 0.4720
P2 P 0.4720 0.7866 0.2134
P3 P 0.5280 0.2134 0.7866
P4 P 0.7866 0.4720 0.5280
```

Principal peaks in the range 10° ≤ 2θ ≤ 80°, sorted by position:
Position (°2θ)	I/Imax
28.63	66
33.71	76
34.67	28
39.02	44
39.99	100
40.20	95
44.99	78
56.59	27
61.01	32
71.48	29

=====

9.
YbCo3P2: computed powder diffractogram (Cu Ka), based on DFT lattice parameters and positions (GGA-PBE).
No peak broadening, texture or thermal motion is included.

Crystal structure
```
data_YbCo3P2
_chemical_formula_sum 'Yb6 Co18 P12'
_cell_length_a 3.6748
_cell_length_b 10.5121
_cell_length_c 12.1156
_cell_angle_alpha 90.00
_cell_angle_beta 90.00
_cell_angle_gamma 90.00
_symmetry_space_group_name_H-M 'P 1'
_symmetry_Int_Tables_number 1
_symmetry_space_group_name_Hall 'P 1'
loop_
_atom_site_label
_atom_site_type_symbol
_atom_site_fract_x
_atom_site_fract_y
_atom_site_fract_z
Yb1 Yb 0.2500 0.0706 0.2059
Yb2 Yb 0.2500 0.2500 0.4748
Yb3 Yb 0.2500 0.4294 0.2059
Yb4 Yb 0.7500 0.5706 0.7941
Yb5 Yb 0.7500 0.7500 0.5252
Yb6 Yb 0.7500 0.9294 0.7941
Co1 Co 0.2500 0.1301 0.7085
Co2 Co 0.2500 0.2500 0.0108
Co3 Co 0.2500 0.3699 0.7085
Co4 Co 0.2500 0.5478 0.4310
Co5 Co 0.2500 0.5829 0.9959
Co6 Co 0.2500 0.7500 0.1590
Co7 Co 0.2500 0.7500 0.7017
Co8 Co 0.2500 0.9171 0.9959
Co9 Co 0.2500 0.9522 0.4310
Co10 Co 0.7500 0.0478 0.5690
Co11 Co 0.7500 0.0829 0.0041
Co12 Co 0.7500 0.2500 0.2983
Co13 Co 0.7500 0.2500 0.8410
Co14 Co 0.7500 0.4171 0.0041
Co15 Co 0.7500 0.4522 0.5690
Co16 Co 0.7500 0.6301 0.2915
Co17 Co 0.7500 0.7500 0.9892
Co18 Co 0.7500 0.8699 0.2915
P1 P 0.2500 0.0957 0.8921
P2 P 0.2500 0.4043 0.8921
P3 P 0.2500 0.5590 0.6168
P4 P 0.2500 0.7500 0.3434
P5 P 0.2500 0.7500 0.8840
P6 P 0.2500 0.9410 0.6168
P7 P 0.7500 0.0590 0.3832
P8 P 0.7500 0.2500 0.1160
P9 P 0.7500 0.2500 0.6566
P10 P 0.7500 0.4410 0.3832
P11 P 0.7500 0.5957 0.1079
P12 P 0.7500 0.9043 0.1079
```

Principal peaks in the range 10° ≤ 2θ ≤ 80°, sorted by position:
Position (°2θ)	I/Imax
29.47	13
33.87	8
34.08	8
37.26	10
38.49	100
39.50	9
41.01	12
49.62	19
52.26	22
74.93	14

=====

10.
Yb5Co19P12: computed powder diffractogram (Cu Ka), based on DFT lattice parameters and positions (GGA-PBE).
No peak broadening, texture or thermal motion is included.

Crystal structure
```
data_Yb5Co19P12
_chemical_formula_sum 'Yb5 Co19 P12'
_cell_length_a 11.9683
_cell_length_b 11.9683
_cell_length_c 3.6447
_cell_angle_alpha 90.00
_cell_angle_beta 90.00
_cell_angle_gamma 120.00
_symmetry_space_group_name_H-M 'P 1'
_symmetry_Int_Tables_number 1
_symmetry_space_group_name_Hall 'P 1'
loop_
_atom_site_label
_atom_site_type_symbol
_atom_site_fract_x
_atom_site_fract_y
_atom_site_fract_z
Yb1 Yb 0.0000 0.8161 0.0000
Yb2 Yb 0.1839 0.1839 0.0000
Yb3 Yb 0.3333 0.6667 0.5000
Yb4 Yb 0.6667 0.3333 0.5000
Yb5 Yb 0.8161 0.0000 0.0000
Co1 Co 0.0000 0.0000 0.5000
Co2 Co 0.0000 0.2870 0.0000
Co3 Co 0.0000 0.4485 0.5000
Co4 Co 0.1242 0.6429 0.0000
Co5 Co 0.1785 0.3786 0.5000
Co6 Co 0.2001 0.8215 0.5000
Co7 Co 0.2870 0.0000 0.0000
Co8 Co 0.3571 0.4813 0.0000
Co9 Co 0.3786 0.1785 0.5000
Co10 Co 0.4485 0.0000 0.5000
Co11 Co 0.4813 0.3571 0.0000
Co12 Co 0.5187 0.8758 0.0000
Co13 Co 0.5515 0.5515 0.5000
Co14 Co 0.6214 0.7999 0.5000
Co15 Co 0.6429 0.1242 0.0000
Co16 Co 0.7130 0.7130 0.0000
Co17 Co 0.7999 0.6214 0.5000
Co18 Co 0.8215 0.2001 0.5000
Co19 Co 0.8758 0.5187 0.0000
P1 P 0.0000 0.1827 0.5000
P2 P 0.0000 0.6329 0.5000
P3 P 0.1660 0.4817 0.0000
P4 P 0.1827 0.0000 0.5000
P5 P 0.3157 0.8340 0.0000
P6 P 0.3671 0.3671 0.5000
P7 P 0.4817 0.1660 0.0000
P8 P 0.5183 0.6843 0.0000
P9 P 0.6329 0.0000 0.5000
P10 P 0.6843 0.5183 0.0000
P11 P 0.8173 0.8173 0.5000
P12 P 0.8340 0.3157 0.0000
```

Principal peaks in the range 10° ≤ 2θ ≤ 80°, sorted by position:
Position (°2θ)	I/Imax
25.91	11
28.68	10
29.86	12
35.81	13
38.95	100
39.90	45
50.05	20
53.01	20
73.75	10
75.89	13

=====

11.
Zr5Co19P12: computed powder diffractogram (Cu Ka), based on DFT lattice parameters and positions (GGA-PBE).
No peak broadening, texture or thermal motion is included.

Crystal structure
```
data_Zr5Co19P12
_chemical_formula_sum 'Zr5 Co19 P12'
_cell_length_a 11.8165
_cell_length_b 11.8165
_cell_length_c 3.6097
_cell_angle_alpha 90.00
_cell_angle_beta 90.00
_cell_angle_gamma 120.00
_symmetry_space_group_name_H-M 'P 1'
_symmetry_Int_Tables_number 1
_symmetry_space_group_name_Hall 'P 1'
loop_
_atom_site_label
_atom_site_type_symbol
_atom_site_fract_x
_atom_site_fract_y
_atom_site_fract_z
Zr1 Zr 0.0000 0.8158 0.0000
Zr2 Zr 0.1842 0.1842 0.0000
Zr3 Zr 0.3333 0.6667 0.5000
Zr4 Zr 0.6667 0.3333 0.5000
Zr5 Zr 0.8158 0.0000 0.0000
Co1 Co 0.0000 0.0000 0.5000
Co2 Co 0.0000 0.2849 0.0000
Co3 Co 0.0000 0.4513 0.5000
Co4 Co 0.1272 0.6439 0.0000
Co5 Co 0.1787 0.3769 0.5000
Co6 Co 0.1982 0.8213 0.5000
Co7 Co 0.2849 0.0000 0.0000
Co8 Co 0.3561 0.4834 0.0000
Co9 Co 0.3769 0.1787 0.5000
Co10 Co 0.4513 0.0000 0.5000
Co11 Co 0.4834 0.3561 0.0000
Co12 Co 0.5166 0.8728 0.0000
Co13 Co 0.5487 0.5487 0.5000
Co14 Co 0.6231 0.8018 0.5000
Co15 Co 0.6439 0.1272 0.0000
Co16 Co 0.7151 0.7151 0.0000
Co17 Co 0.8018 0.6231 0.5000
Co18 Co 0.8213 0.1982 0.5000
Co19 Co 0.8728 0.5166 0.0000
P1 P 0.0000 0.1776 0.5000
P2 P 0.0000 0.6380 0.5000
P3 P 0.1661 0.4827 0.0000
P4 P 0.1776 0.0000 0.5000
P5 P 0.3166 0.8339 0.0000
P6 P 0.3620 0.3620 0.5000
P7 P 0.4827 0.1661 0.0000
P8 P 0.5173 0.6834 0.0000
P9 P 0.6380 0.0000 0.5000
P10 P 0.6834 0.5173 0.0000
P11 P 0.8224 0.8224 0.5000
P12 P 0.8339 0.3166 0.0000
```

Principal peaks in the range 10° ≤ 2θ ≤ 80°, sorted by position:
Position (°2θ)	I/Imax
30.26	8
39.41	100
40.41	37
47.90	8
49.60	8
50.57	23
51.32	8
53.74	20
74.82	8
76.91	13